Structure and calculated X-ray diffraction stick pattern of La4Nd2Sm (a DFT-relaxed cell (PBE, Alexandria); Cu Ka).
Peak positions follow from Bragg's law for the DFT cell and can differ from measured ones.

Atomic structure:
```
data_La4Nd2Sm
_chemical_formula_sum 'La16 Nd8 Sm4'
_cell_length_a 6.9972
_cell_length_b 11.7739
_cell_length_c 12.3974
_cell_angle_alpha 90.00
_cell_angle_beta 90.00
_cell_angle_gamma 90.00
_space_group_name_H-M_alt 'I m m a'
_space_group_IT_number 74
_space_group_name_Hall '-I 2b 2'
loop_
_atom_site_label
_atom_site_type_symbol
_atom_site_fract_x
_atom_site_fract_y
_atom_site_fract_z
La1 La 0.0000 0.0014 0.1462
La2 La 0.2186 0.2500 0.9944
Nd1 Nd 0.0000 0.0000 0.5000
Nd2 Nd 0.0000 0.2500 0.7190
Sm1 Sm 0.2500 0.2500 0.2500
```

Peak list (6 most intense, 2θ = 15–90°, low angle first)
Position (°2θ)	I (rel.)	h k l
27.55	31	2 1 1
29.33	100	1 2 3
29.70	75	2 2 0
30.37	75	0 4 0
32.65	48	0 2 4
33.11	23	2 2 2

=====

Structure and calculated X-ray diffraction stick pattern of HoZr4Sc15 (a DFT-relaxed cell (PBE, Alexandria); Cu Ka).
Peak positions follow from Bragg's law for the DFT cell and can differ from measured ones.

Atomic structure:
```
data_HoZr4Sc15
_chemical_formula_sum 'Ho1 Zr4 Sc15'
_cell_length_a 4.5773
_cell_length_b 4.5773
_cell_length_c 23.0692
_cell_angle_alpha 90.00
_cell_angle_beta 90.00
_cell_angle_gamma 90.00
_space_group_name_H-M_alt 'P 4/m m m'
_space_group_IT_number 123
_space_group_name_Hall '-P 4 2'
loop_
_atom_site_label
_atom_site_type_symbol
_atom_site_fract_x
_atom_site_fract_y
_atom_site_fract_z
Ho1 Ho 0.0000 0.0000 0.0000
Zr1 Zr 0.0000 0.0000 0.2023
Zr2 Zr 0.0000 0.0000 0.4015
Sc1 Sc 0.0000 0.5000 0.1070
Sc2 Sc 0.0000 0.5000 0.3032
Sc3 Sc 0.0000 0.5000 0.5000
Sc4 Sc 0.5000 0.5000 0.0000
Sc5 Sc 0.5000 0.5000 0.2036
Sc6 Sc 0.5000 0.5000 0.4011
```

Peak list (6 most intense, 2θ = 15–90°, low angle first)
Position (°2θ)	I (rel.)	h k l
19.39	13	1 0 0
33.83	100	1 1 5
39.04	16	0 0 10
39.37	33	2 0 0
56.65	20	2 0 10
67.86	23	3 1 5

=====

Structure and calculated X-ray diffraction stick pattern of ErGaHg2 (a DFT-relaxed cell (PBE, Alexandria); Cu Ka).
Peak positions follow from Bragg's law for the DFT cell and can differ from measured ones.

Atomic structure:
```
data_ErGaHg2
_chemical_formula_sum 'Er1 Ga1 Hg2'
_cell_length_a 3.7581
_cell_length_b 3.7581
_cell_length_c 6.5819
_cell_angle_alpha 90.00
_cell_angle_beta 90.00
_cell_angle_gamma 90.00
_space_group_name_H-M_alt 'P 4/m m m'
_space_group_IT_number 123
_space_group_name_Hall '-P 4 2'
loop_
_atom_site_label
_atom_site_type_symbol
_atom_site_fract_x
_atom_site_fract_y
_atom_site_fract_z
Er1 Er 0.0000 0.0000 0.0000
Ga1 Ga 0.0000 0.0000 0.5000
Hg1 Hg 0.5000 0.5000 0.2593
```

Peak list (6 most intense, 2θ = 15–90°, low angle first)
Position (°2θ)	I (rel.)	h k l
33.73	61	1 1 0
36.28	100	1 0 2
48.44	22	2 0 0
62.00	43	2 1 2
66.88	17	1 1 4
77.04	11	2 0 4

=====

Structure and calculated X-ray diffraction stick pattern of Ag5SnS5 (a DFT-relaxed cell (PBE, Alexandria); Cu Ka).
Peak positions follow from Bragg's law for the DFT cell and can differ from measured ones.

Atomic structure:
```
data_Ag5SnS5
_chemical_formula_sum 'Ag10 Sn2 S10'
_cell_length_a 12.0809
_cell_length_b 5.2398
_cell_length_c 7.4917
_cell_angle_alpha 90.00
_cell_angle_beta 107.84
_cell_angle_gamma 90.00
_space_group_name_H-M_alt 'C 1 2/m 1'
_space_group_IT_number 12
_space_group_name_Hall '-C 2y'
loop_
_atom_site_label
_atom_site_type_symbol
_atom_site_fract_x
_atom_site_fract_y
_atom_site_fract_z
Ag1 Ag 0.0000 0.0000 0.0000
Ag2 Ag 0.1551 0.5000 0.8458
Ag3 Ag 0.1619 0.5000 0.3217
Sn1 Sn 0.0000 0.0000 0.5000
S1 S 0.0000 0.5000 0.5000
S2 S 0.1471 0.0000 0.3149
S3 S 0.1684 0.0000 0.8264
```

Peak list (6 most intense, 2θ = 15–90°, low angle first)
Position (°2θ)	I (rel.)	h k l
28.86	68	3 1 0
29.31	64	1 1 -2
33.38	62	2 0 2
33.51	59	4 0 -2
34.23	59	0 2 0
48.61	100	2 2 2

=====

Structure and calculated X-ray diffraction stick pattern of Rb2VI6N (a DFT-relaxed cell (PBE, Alexandria); Cu Ka).
Peak positions follow from Bragg's law for the DFT cell and can differ from measured ones.

Atomic structure:
```
data_Rb2VI6N
_chemical_formula_sum 'Rb4 V2 I12 N2'
_cell_length_a 8.7740
_cell_length_b 8.7740
_cell_length_c 10.3839
_cell_angle_alpha 90.00
_cell_angle_beta 90.00
_cell_angle_gamma 90.00
_space_group_name_H-M_alt 'I 4/m m m'
_space_group_IT_number 139
_space_group_name_Hall '-I 4 2'
loop_
_atom_site_label
_atom_site_type_symbol
_atom_site_fract_x
_atom_site_fract_y
_atom_site_fract_z
Rb1 Rb 0.0000 0.5000 0.2500
V1 V 0.0000 0.0000 0.0000
I1 I 0.0000 0.0000 0.2751
I2 I 0.2198 0.2198 0.0000
N1 N 0.0000 0.0000 0.5000
```

Peak list (6 most intense, 2θ = 15–90°, low angle first)
Position (°2θ)	I (rel.)	h k l
26.60	100	2 0 2
28.78	53	2 2 0
34.55	17	0 0 4
41.15	17	4 0 0
45.57	37	2 2 4
49.68	28	4 2 2

=====

Structure and calculated X-ray diffraction stick pattern of BaPmRh (a DFT-relaxed cell (PBE, Alexandria); Cu Ka).
Peak positions follow from Bragg's law for the DFT cell and can differ from measured ones.

Atomic structure:
```
data_BaPmRh
_chemical_formula_sum 'Ba2 Pm2 Rh2'
_cell_length_a 4.6453
_cell_length_b 4.6453
_cell_length_c 12.4632
_cell_angle_alpha 90.00
_cell_angle_beta 90.00
_cell_angle_gamma 120.00
_space_group_name_H-M_alt 'P -3 m 1'
_space_group_IT_number 164
_space_group_name_Hall '-P 3 2"'
loop_
_atom_site_label
_atom_site_type_symbol
_atom_site_fract_x
_atom_site_fract_y
_atom_site_fract_z
Ba1 Ba 0.0000 0.0000 0.1852
Pm1 Pm 0.3333 0.6667 0.5885
Rh1 Rh 0.3333 0.6667 0.3393
```

Peak list (6 most intense, 2θ = 15–90°, low angle first)
Position (°2θ)	I (rel.)	h k l
23.23	90	0 1 1
26.37	35	1 0 2
30.94	100	0 1 3
36.47	47	0 1 4
38.77	85	1 1 0
50.41	25	2 0 3